Diffraction record for Li4Mn3Cr2Sn3O16. The powder diffraction line list is computed, not measured: it uses DFT lattice parameters and positions (PBE+U) and Cu Ka.
No peak broadening, texture or thermal motion is included.

Cell: 6.0746 6.0746 9.6528 Å, 90.19 90.19 61.10°
Fractional coordinates of all 28 atoms:
Li (0.0000, 0.0000, 0.0000)
Li (0.0050, 0.0050, 0.5080)
Li (0.3484, 0.3484, 0.1027)
Li (0.6899, 0.6899, 0.6141)
Mn (0.1890, 0.6753, 0.7854)
Mn (0.6753, 0.1890, 0.7854)
Mn (0.8474, 0.8474, 0.2872)
Cr (0.3588, 0.3588, 0.5183)
Cr (0.6829, 0.6829, 0.0100)
Sn (0.1846, 0.1846, 0.7891)
Sn (0.3546, 0.8485, 0.2856)
Sn (0.8485, 0.3546, 0.2856)
O (0.0059, 0.0059, 0.1870)
O (0.0074, 0.0074, 0.6933)
O (0.0637, 0.5046, 0.6601)
O (0.1808, 0.1808, 0.4044)
O (0.1863, 0.6881, 0.4053)
O (0.3344, 0.8458, 0.9006)
O (0.3567, 0.3567, 0.8955)
O (0.5012, 0.5012, 0.6599)
O (0.5046, 0.0637, 0.6601)
O (0.5328, 0.5328, 0.1545)
O (0.5330, 0.9754, 0.1494)
O (0.6881, 0.1863, 0.4053)
O (0.6943, 0.6943, 0.3996)
O (0.8442, 0.8442, 0.8944)
O (0.8458, 0.3344, 0.9006)
O (0.9754, 0.5330, 0.1494)

The 8 most intense peaks (2θ = 10–90°), sorted by position:
2θ = 18.38°, rel. 100
2θ = 19.06°, rel. 66
2θ = 19.31°, rel. 42
2θ = 34.99°, rel. 87
2θ = 35.56°, rel. 29
2θ = 38.67°, rel. 30
2θ = 44.19°, rel. 55
2θ = 61.03°, rel. 29

=====

Diffraction record for Li4Mn3Cr3Sn2O16. The powder diffraction line list is computed, not measured: it uses DFT lattice parameters and positions (PBE+U) and Cu Ka.
No peak broadening, texture or thermal motion is included.

Cell: 5.9401 5.9401 9.7124 Å, 90.58 90.58 60.59°
Fractional coordinates of all 28 atoms:
Li (0.0000, 0.0000, 0.0000)
Li (0.0026, 0.0026, 0.5004)
Li (0.3388, 0.3388, 0.1047)
Li (0.6735, 0.6735, 0.6020)
Mn (0.1741, 0.6630, 0.7794)
Mn (0.6630, 0.1741, 0.7794)
Mn (0.8337, 0.8337, 0.2794)
Cr (0.1718, 0.1718, 0.7795)
Cr (0.3413, 0.8340, 0.2797)
Cr (0.8340, 0.3413, 0.2797)
Sn (0.3362, 0.3362, 0.5014)
Sn (0.6672, 0.6672, 0.0037)
O (0.0396, 0.4879, 0.6596)
O (0.1569, 0.6843, 0.3928)
O (0.1622, 0.1622, 0.3969)
O (0.3195, 0.8405, 0.8936)
O (0.3412, 0.3412, 0.8844)
O (0.4879, 0.0396, 0.6596)
O (0.4890, 0.4890, 0.6512)
O (0.5206, 0.5206, 0.1560)
O (0.5254, 0.9699, 0.1600)
O (0.6758, 0.6758, 0.3845)
O (0.6843, 0.1569, 0.3928)
O (0.8385, 0.8385, 0.8930)
O (0.8405, 0.3195, 0.8936)
O (0.9699, 0.5254, 0.1600)
O (0.9972, 0.9972, 0.6870)
O (0.9982, 0.9982, 0.1854)

The 8 most intense peaks (2θ = 10–90°), sorted by position:
2θ = 19.44°, rel. 100
2θ = 19.67°, rel. 18
2θ = 25.08°, rel. 19
2θ = 32.54°, rel. 25
2θ = 35.23°, rel. 43
2θ = 35.60°, rel. 22
2θ = 59.33°, rel. 18
2θ = 62.55°, rel. 20